# LiFeP2HO8
Computed XRD peak list, Cu Kα (weighted mean of Kα1 and Kα2). Input: DFT lattice parameters and positions (GGA+U).
Neutral-atom scattering factors, no anomalous dispersion.

Most intense lines, 2θ from 10° to 80°, by angle:
2theta  d/Å  I (rel.)  (hkl)
16.24  5.459  86  0 1 1
22.36  3.976  57  1 1 -1
24.46  3.639  100  1 0 1
25.01  3.561  62  0 2 1
26.84  3.322  21  1 1 1
28.77  3.103  34  1 2 0
28.92  3.087  85  1 1 -2
29.43  3.035  36  1 2 -1
32.81  2.730  53  0 2 2
38.14  2.359  24  2 1 -1

Atomic structure:
a b c (Å): 4.9473 8.1356 7.5882
angles (deg): 90.00 104.00 90.00
Positions (direct):
Li 0.1520 0.0000 0.1033
Li 0.8480 0.5000 0.8967
Fe 0.2406 0.3732 0.2465
Fe 0.7594 0.8732 0.7535
P 0.1322 0.0229 0.4853
P 0.3803 0.7127 0.0122
P 0.6197 0.2127 0.9878
P 0.8678 0.5229 0.5147
H 0.2946 0.3441 0.7644
H 0.7054 0.8441 0.2356
O 0.0002 0.4269 0.6891
O 0.9998 0.9269 0.3109
O 0.0557 0.5355 0.3798
O 0.1343 0.8234 0.9182
O 0.1939 0.1953 0.4198
O 0.2686 0.5442 0.0547
O 0.4022 0.9377 0.5886
O 0.4030 0.1950 0.1027
O 0.4953 0.3050 0.8033
O 0.5047 0.8050 0.1967
O 0.5970 0.6950 0.8973
O 0.5978 0.4377 0.4114
O 0.7314 0.0442 0.9453
O 0.8061 0.6953 0.5802
O 0.8657 0.3234 0.0818
O 0.9443 0.0355 0.6202